This entry pairs a crystal structure of Na2ZnCd6In with its simulated PXRD pattern. Radiation: Cu Ka. Structure: a crystal structure in Alexandria, relaxed with PBE.

Atomic structure:
a = 12.7728 Å, b = 12.7728 Å, c = 12.7728 Å
α = 33.14°, β = 33.14°, γ = 33.14°
Atoms (fractional coordinates):
Na 0.1005 0.1005 0.1005
Na 0.2759 0.2759 0.2759
Na 0.7241 0.7241 0.7241
Na 0.8995 0.8995 0.8995
Zn 0.0000 0.0000 0.0000
Zn 0.5000 0.5000 0.5000
Cd 0.0711 0.6744 0.6744
Cd 0.2220 0.2220 0.6326
Cd 0.2220 0.6326 0.2220
Cd 0.3256 0.3256 0.9289
Cd 0.3256 0.9289 0.3256
Cd 0.3674 0.7780 0.7780
Cd 0.6326 0.2220 0.2220
Cd 0.6744 0.0711 0.6744
Cd 0.6744 0.6744 0.0711
Cd 0.7780 0.3674 0.7780
Cd 0.7780 0.7780 0.3674
Cd 0.9289 0.3256 0.3256
In 0.4251 0.4251 0.4251
In 0.5749 0.5749 0.5749

The 6 most intense peaks (10° ≤ 2θ ≤ 80°), in order of rising 2θ:
| two_theta | I/Imax |
| --- | --- |
| 14.69 | 69 |
| 18.66 | 88 |
| 33.27 | 100 |
| 38.06 | 93 |
| 39.58 | 46 |
| 48.87 | 44 |



This entry pairs a crystal structure of La6CdTc2 with its simulated PXRD pattern. Radiation: Cu Ka. Structure: a crystal structure in Alexandria, relaxed with PBE.

Atomic structure:
a = 8.9080 Å, b = 8.9080 Å, c = 8.9080 Å
α = 111.96°, β = 110.12°, γ = 106.39°
Atoms (fractional coordinates):
La 0.0232 0.2303 0.7930
La 0.1865 0.2849 0.4714
La 0.1865 0.7151 0.9016
La 0.3266 0.0127 0.6861
La 0.3266 0.6405 0.3139
La 0.4373 0.2303 0.2070
La 0.5627 0.7697 0.7930
La 0.6734 0.3595 0.6861
La 0.6734 0.9873 0.3139
La 0.8135 0.2849 0.0984
La 0.8135 0.7151 0.5286
La 0.9768 0.7697 0.2070
Cd 0.0000 0.0000 0.0000
Cd 0.5000 0.5000 0.0000
Tc 0.1148 0.6148 0.5000
Tc 0.3254 0.0000 0.3254
Tc 0.6746 0.0000 0.6746
Tc 0.8852 0.3852 0.5000

The 6 most intense peaks (10° ≤ 2θ ≤ 80°), in order of rising 2θ:
| two_theta | I/Imax |
| --- | --- |
| 30.15 | 100 |
| 32.13 | 43 |
| 32.48 | 64 |
| 32.97 | 54 |
| 33.25 | 37 |
| 56.19 | 29 |



This entry pairs a crystal structure of BaTm3Te6 with its simulated PXRD pattern. Radiation: Cu Ka. Structure: a crystal structure in Alexandria, relaxed with PBE.

Atomic structure:
a = 12.6951 Å, b = 4.4473 Å, c = 12.9743 Å
α = 90.00°, β = 109.20°, γ = 90.00°
Atoms (fractional coordinates):
Ba 0.0536 0.2500 0.1981
Ba 0.9464 0.7500 0.8019
Tm 0.1549 0.2500 0.5848
Tm 0.3237 0.7500 0.0024
Tm 0.4505 0.2500 0.3389
Tm 0.5495 0.7500 0.6611
Tm 0.6763 0.2500 0.9976
Tm 0.8451 0.7500 0.4152
Te 0.0848 0.7500 0.4151
Te 0.1447 0.2500 0.9674
Te 0.2113 0.7500 0.7490
Te 0.2850 0.7500 0.2337
Te 0.3841 0.2500 0.5498
Te 0.4875 0.2500 0.1187
Te 0.5125 0.7500 0.8813
Te 0.6159 0.7500 0.4502
Te 0.7150 0.2500 0.7663
Te 0.7887 0.2500 0.2510
Te 0.8553 0.7500 0.0326
Te 0.9152 0.2500 0.5849

The 6 most intense peaks (10° ≤ 2θ ≤ 80°), in order of rising 2θ:
| two_theta | I/Imax |
| --- | --- |
| 27.21 | 37 |
| 27.34 | 100 |
| 28.02 | 64 |
| 30.06 | 54 |
| 36.85 | 66 |
| 40.57 | 73 |



This entry pairs a crystal structure of BaCaP2H2O8 with its simulated PXRD pattern. Radiation: Cu Ka. Structure: a crystal structure in Alexandria, relaxed with PBE.

Atomic structure:
a = 9.9954 Å, b = 7.9717 Å, c = 9.6932 Å
α = 90.00°, β = 115.11°, γ = 90.00°
Atoms (fractional coordinates):
Ba 0.2295 0.1446 0.0573
Ba 0.2295 0.3554 0.5573
Ba 0.7705 0.6446 0.4427
Ba 0.7705 0.8554 0.9427
Ca 0.2763 0.6399 0.2132
Ca 0.2763 0.8601 0.7132
Ca 0.7237 0.1399 0.2868
Ca 0.7237 0.3601 0.7868
P 0.0723 0.5696 0.8373
P 0.0723 0.9304 0.3373
P 0.4983 0.7405 0.5757
P 0.4983 0.7595 0.0757
P 0.5017 0.2405 0.9243
P 0.5017 0.2595 0.4243
P 0.9277 0.0696 0.6627
P 0.9277 0.4304 0.1627
H 0.0468 0.6579 0.3357
H 0.0468 0.8421 0.8357
H 0.4897 0.5310 0.8749
H 0.4897 0.9690 0.3749
H 0.5103 0.0310 0.6251
H 0.5103 0.4690 0.1251
H 0.9532 0.1579 0.1643
H 0.9532 0.3421 0.6643
O 0.0239 0.7397 0.8922
O 0.0239 0.7603 0.3922
O 0.0755 0.5249 0.2572
O 0.0755 0.9751 0.7572
O 0.1456 0.6110 0.7302
O 0.1456 0.8890 0.2302
O 0.1720 0.0253 0.4817
O 0.1720 0.4747 0.9817
O 0.3527 0.6630 0.5610
O 0.3527 0.8370 0.0610
O 0.3618 0.1395 0.8294
O 0.3618 0.3605 0.3294
O 0.4870 0.0873 0.3292
O 0.4870 0.4127 0.8292
O 0.4927 0.7148 0.9178
O 0.4927 0.7852 0.4178
O 0.5073 0.2148 0.5822
O 0.5073 0.2852 0.0822
O 0.5130 0.5873 0.1708
O 0.5130 0.9127 0.6708
O 0.6382 0.6395 0.6706
O 0.6382 0.8605 0.1706
O 0.6473 0.1630 0.9390
O 0.6473 0.3370 0.4390
O 0.8280 0.5253 0.0183
O 0.8280 0.9747 0.5183
O 0.8544 0.1110 0.7698
O 0.8544 0.3890 0.2698
O 0.9245 0.0249 0.2428
O 0.9245 0.4751 0.7428
O 0.9761 0.2397 0.6078
O 0.9761 0.2603 0.1078

The 6 most intense peaks (10° ≤ 2θ ≤ 80°), in order of rising 2θ:
| two_theta | I/Imax |
| --- | --- |
| 24.78 | 91 |
| 27.89 | 78 |
| 28.06 | 82 |
| 28.40 | 100 |
| 30.04 | 52 |
| 37.87 | 41 |



This entry pairs a crystal structure of KPtCl with its simulated PXRD pattern. Radiation: Cu Ka. Structure: a crystal structure in Alexandria, relaxed with PBE.

Atomic structure:
a = 4.1041 Å, b = 4.1055 Å, c = 9.8744 Å
α = 83.95°, β = 84.56°, γ = 75.72°
Atoms (fractional coordinates):
K 0.0000 0.0000 0.0000
K 0.3006 0.3136 0.6137
Pt 0.0523 0.0404 0.3469
Pt 0.6647 0.6530 0.3409
Cl 0.3861 0.3795 0.1860
Cl 0.6499 0.6567 0.8121

The 6 most intense peaks (10° ≤ 2θ ≤ 80°), in order of rising 2θ:
| two_theta | I/Imax |
| --- | --- |
| 18.11 | 100 |
| 27.32 | 44 |
| 31.29 | 38 |
| 35.64 | 45 |
| 36.71 | 53 |
| 46.02 | 35 |